Starting from a cell relaxed with GGA-PBE, the X-ray powder pattern of PrZnAg2 was computed for a wavelength of 1.5418 Å.
Kinematic intensities with the Lorentz-polarization factor, no thermal factor.

Structure:
```
data_PrZnAg2
_chemical_formula_sum 'Pr2 Zn2 Ag4'
_cell_length_a 4.680
_cell_length_b 5.893
_cell_length_c 6.470
_cell_angle_alpha 90.00
_cell_angle_beta 90.00
_cell_angle_gamma 90.00
_symmetry_space_group_name_H-M 'P 1'
_symmetry_Int_Tables_number 1
_symmetry_space_group_name_Hall 'P 1'
loop_
_atom_site_label
_atom_site_type_symbol
_atom_site_fract_x
_atom_site_fract_y
_atom_site_fract_z
_atom_site_occupancy
Pr1 Pr 0.000 0.113 0.000 1
Pr2 Pr 0.500 0.887 0.500 1
Zn1 Zn 0.000 0.634 0.234 1
Zn2 Zn 0.500 0.366 0.734 1
Ag1 Ag 0.000 0.257 0.500 1
Ag2 Ag 0.000 0.635 0.764 1
Ag3 Ag 0.500 0.365 0.264 1
Ag4 Ag 0.500 0.743 0.000 1
```

Largest 8 diffraction maxima, by angle, 2θ = 10–90°:
- d 3.189, 27.98 deg, rel. 200
- d 2.836, 31.55 deg, rel. 332
- d 2.682, 33.42 deg, rel. 169
- d 2.493, 36.02 deg, rel. 458
- d 2.425, 37.07 deg, rel. 1000
- d 2.340, 38.47 deg, rel. 374
- d 1.805, 50.57 deg, rel. 172
- d 1.367, 68.67 deg, rel. 153

=====

Starting from a cell relaxed with GGA-PBE, the X-ray powder pattern of AgPt was computed for a wavelength of 1.5418 Å.
Kinematic intensities with the Lorentz-polarization factor, no thermal factor.

Structure:
```
data_AgPt
_chemical_formula_sum 'Ag3 Pt3'
_cell_length_a 2.820
_cell_length_b 2.820
_cell_length_c 14.278
_cell_angle_alpha 90.00
_cell_angle_beta 90.00
_cell_angle_gamma 120.00
_symmetry_space_group_name_H-M 'P 1'
_symmetry_Int_Tables_number 1
_symmetry_space_group_name_Hall 'P 1'
loop_
_atom_site_label
_atom_site_type_symbol
_atom_site_fract_x
_atom_site_fract_y
_atom_site_fract_z
_atom_site_occupancy
Ag1 Ag 0.000 0.000 0.000 1
Ag2 Ag 0.333 0.667 0.667 1
Ag3 Ag 0.667 0.333 0.333 1
Pt1 Pt 0.000 0.000 0.500 1
Pt2 Pt 0.333 0.667 0.167 1
Pt3 Pt 0.667 0.333 0.833 1
```

Largest 8 diffraction maxima, by angle, 2θ = 10–90°:
- d 4.759, 18.64 deg, rel. 135
- d 2.380, 37.81 deg, rel. 363
- d 2.311, 38.98 deg, rel. 1000
- d 2.016, 44.98 deg, rel. 665
- d 1.441, 64.69 deg, rel. 222
- d 1.410, 66.29 deg, rel. 207
- d 1.233, 77.43 deg, rel. 133
- d 1.213, 78.92 deg, rel. 253

=====

Starting from a cell relaxed with GGA-PBE, the X-ray powder pattern of AgSb2Pt2 was computed for a wavelength of 1.5418 Å.
Kinematic intensities with the Lorentz-polarization factor, no thermal factor.

Structure:
```
data_AgSb2Pt2
_chemical_formula_sum 'Ag2 Sb4 Pt4'
_cell_length_a 4.312
_cell_length_b 4.312
_cell_length_c 13.949
_cell_angle_alpha 90.00
_cell_angle_beta 90.00
_cell_angle_gamma 120.00
_symmetry_space_group_name_H-M 'P 1'
_symmetry_Int_Tables_number 1
_symmetry_space_group_name_Hall 'P 1'
loop_
_atom_site_label
_atom_site_type_symbol
_atom_site_fract_x
_atom_site_fract_y
_atom_site_fract_z
_atom_site_occupancy
Ag1 Ag 0.000 0.000 0.250 1
Ag2 Ag 0.000 0.000 0.750 1
Sb1 Sb 0.333 0.667 0.128 1
Sb2 Sb 0.333 0.667 0.372 1
Sb3 Sb 0.667 0.333 0.628 1
Sb4 Sb 0.667 0.333 0.872 1
Pt1 Pt 0.333 0.667 0.565 1
Pt2 Pt 0.333 0.667 0.935 1
Pt3 Pt 0.667 0.333 0.065 1
Pt4 Pt 0.667 0.333 0.435 1
```

Largest 8 diffraction maxima, by angle, 2θ = 10–90°:
- d 3.734, 23.83 deg, rel. 320
- d 3.292, 27.09 deg, rel. 677
- d 2.912, 30.71 deg, rel. 253
- d 2.549, 35.21 deg, rel. 355
- d 2.235, 40.36 deg, rel. 866
- d 2.156, 41.90 deg, rel. 1000
- d 1.552, 59.58 deg, rel. 277
- d 1.259, 75.49 deg, rel. 277

=====

Starting from a cell relaxed with GGA-PBE, the X-ray powder pattern of AgSb5Pt3 was computed for a wavelength of 1.5418 Å.
Kinematic intensities with the Lorentz-polarization factor, no thermal factor.

Structure:
```
data_AgSb5Pt3
_chemical_formula_sum 'Ag1 Sb5 Pt3'
_cell_length_a 5.622
_cell_length_b 5.622
_cell_length_c 8.099
_cell_angle_alpha 90.00
_cell_angle_beta 90.00
_cell_angle_gamma 120.00
_symmetry_space_group_name_H-M 'P 1'
_symmetry_Int_Tables_number 1
_symmetry_space_group_name_Hall 'P 1'
loop_
_atom_site_label
_atom_site_type_symbol
_atom_site_fract_x
_atom_site_fract_y
_atom_site_fract_z
_atom_site_occupancy
Ag1 Ag 0.000 0.000 0.000 1
Sb1 Sb 0.000 0.000 0.500 1
Sb2 Sb 0.333 0.667 0.209 1
Sb3 Sb 0.333 0.667 0.791 1
Sb4 Sb 0.667 0.333 0.209 1
Sb5 Sb 0.667 0.333 0.791 1
Pt1 Pt 0.000 0.500 0.500 1
Pt2 Pt 0.500 0.000 0.500 1
Pt3 Pt 0.500 0.500 0.500 1
```

Largest 8 diffraction maxima, by angle, 2θ = 10–90°:
- d 8.099, 10.92 deg, rel. 928
- d 3.114, 28.67 deg, rel. 192
- d 2.811, 31.83 deg, rel. 314
- d 2.700, 33.18 deg, rel. 285
- d 2.435, 36.92 deg, rel. 243
- d 2.332, 38.62 deg, rel. 557
- d 2.087, 43.37 deg, rel. 1000
- d 1.406, 66.52 deg, rel. 223

=====

Starting from a cell relaxed with GGA-PBE, the X-ray powder pattern of ScAgPt2 was computed for a wavelength of 1.5418 Å.
Kinematic intensities with the Lorentz-polarization factor, no thermal factor.

Structure:
```
data_ScAgPt2
_chemical_formula_sum 'Sc4 Ag4 Pt8'
_cell_length_a 6.499
_cell_length_b 6.499
_cell_length_c 6.499
_cell_angle_alpha 90.00
_cell_angle_beta 90.00
_cell_angle_gamma 90.00
_symmetry_space_group_name_H-M 'P 1'
_symmetry_Int_Tables_number 1
_symmetry_space_group_name_Hall 'P 1'
loop_
_atom_site_label
_atom_site_type_symbol
_atom_site_fract_x
_atom_site_fract_y
_atom_site_fract_z
_atom_site_occupancy
Sc1 Sc 0.000 0.000 0.000 1
Sc2 Sc 0.000 0.500 0.500 1
Sc3 Sc 0.500 0.000 0.500 1
Sc4 Sc 0.500 0.500 0.000 1
Ag1 Ag 0.250 0.250 0.250 1
Ag2 Ag 0.250 0.750 0.750 1
Ag3 Ag 0.750 0.250 0.750 1
Ag4 Ag 0.750 0.750 0.250 1
Pt1 Pt 0.000 0.000 0.500 1
Pt2 Pt 0.000 0.500 0.000 1
Pt3 Pt 0.250 0.250 0.750 1
Pt4 Pt 0.250 0.750 0.250 1
Pt5 Pt 0.500 0.000 0.000 1
Pt6 Pt 0.500 0.500 0.500 1
Pt7 Pt 0.750 0.250 0.250 1
Pt8 Pt 0.750 0.750 0.750 1
```

Largest 8 diffraction maxima, by angle, 2θ = 10–90°:
- d 3.752, 23.71 deg, rel. 225
- d 2.298, 39.21 deg, rel. 1000
- d 1.959, 46.34 deg, rel. 124
- d 1.625, 56.66 deg, rel. 170
- d 1.491, 62.27 deg, rel. 54
- d 1.327, 71.06 deg, rel. 343
- d 1.149, 84.30 deg, rel. 110
- d 1.098, 89.15 deg, rel. 44

=====

Starting from a cell relaxed with GGA-PBE, the X-ray powder pattern of SiAgPt5 was computed for a wavelength of 1.5418 Å.
Kinematic intensities with the Lorentz-polarization factor, no thermal factor.

Structure:
```
data_SiAgPt5
_chemical_formula_sum 'Si1 Ag1 Pt5'
_cell_length_a 3.963
_cell_length_b 3.963
_cell_length_c 7.125
_cell_angle_alpha 90.00
_cell_angle_beta 90.00
_cell_angle_gamma 90.00
_symmetry_space_group_name_H-M 'P 1'
_symmetry_Int_Tables_number 1
_symmetry_space_group_name_Hall 'P 1'
loop_
_atom_site_label
_atom_site_type_symbol
_atom_site_fract_x
_atom_site_fract_y
_atom_site_fract_z
_atom_site_occupancy
Si1 Si 0.000 0.000 0.000 1
Ag1 Ag 0.500 0.500 0.500 1
Pt1 Pt 0.000 0.000 0.500 1
Pt2 Pt 0.000 0.500 0.204 1
Pt3 Pt 0.000 0.500 0.796 1
Pt4 Pt 0.500 0.000 0.204 1
Pt5 Pt 0.500 0.000 0.796 1
```

Largest 8 diffraction maxima, by angle, 2θ = 10–90°:
- d 2.802, 31.94 deg, rel. 192
- d 2.608, 34.39 deg, rel. 413
- d 2.375, 37.88 deg, rel. 241
- d 2.202, 40.98 deg, rel. 1000
- d 1.981, 45.79 deg, rel. 463
- d 1.521, 60.89 deg, rel. 243
- d 1.270, 74.74 deg, rel. 195
- d 1.182, 81.40 deg, rel. 278

=====

Starting from a cell relaxed with GGA-PBE, the X-ray powder pattern of Sm3AgPt8 was computed for a wavelength of 1.5418 Å.
Kinematic intensities with the Lorentz-polarization factor, no thermal factor.

Structure:
```
data_Sm3AgPt8
_chemical_formula_sum 'Sm3 Ag1 Pt8'
_cell_length_a 9.452
_cell_length_b 9.452
_cell_length_c 9.452
_cell_angle_alpha 33.49
_cell_angle_beta 33.49
_cell_angle_gamma 33.49
_symmetry_space_group_name_H-M 'P 1'
_symmetry_Int_Tables_number 1
_symmetry_space_group_name_Hall 'P 1'
loop_
_atom_site_label
_atom_site_type_symbol
_atom_site_fract_x
_atom_site_fract_y
_atom_site_fract_z
_atom_site_occupancy
Sm1 Sm 0.000 0.000 0.000 1
Sm2 Sm 0.130 0.130 0.130 1
Sm3 Sm 0.517 0.517 0.517 1
Ag1 Ag 0.637 0.637 0.637 1
Pt1 Pt 0.070 0.070 0.566 1
Pt2 Pt 0.070 0.566 0.070 1
Pt3 Pt 0.070 0.570 0.570 1
Pt4 Pt 0.319 0.319 0.319 1
Pt5 Pt 0.566 0.070 0.070 1
Pt6 Pt 0.570 0.070 0.570 1
Pt7 Pt 0.570 0.570 0.070 1
Pt8 Pt 0.819 0.819 0.819 1
```

Largest 8 diffraction maxima, by angle, 2θ = 10–90°:
- d 4.450, 19.95 deg, rel. 184
- d 2.725, 32.87 deg, rel. 177
- d 2.324, 38.75 deg, rel. 1000
- d 2.225, 40.54 deg, rel. 527
- d 1.483, 62.64 deg, rel. 244
- d 1.364, 68.85 deg, rel. 138
- d 1.362, 68.97 deg, rel. 155
- d 1.162, 83.16 deg, rel. 153

=====

Starting from a cell relaxed with GGA-PBE, the X-ray powder pattern of Ag3Sn2Pt2 was computed for a wavelength of 1.5418 Å.
Kinematic intensities with the Lorentz-polarization factor, no thermal factor.

Structure:
```
data_Ag3Sn2Pt2
_chemical_formula_sum 'Ag6 Sn4 Pt4'
_cell_length_a 4.522
_cell_length_b 4.522
_cell_length_c 16.184
_cell_angle_alpha 90.00
_cell_angle_beta 90.00
_cell_angle_gamma 120.00
_symmetry_space_group_name_H-M 'P 1'
_symmetry_Int_Tables_number 1
_symmetry_space_group_name_Hall 'P 1'
loop_
_atom_site_label
_atom_site_type_symbol
_atom_site_fract_x
_atom_site_fract_y
_atom_site_fract_z
_atom_site_occupancy
Ag1 Ag 0.000 0.000 0.166 1
Ag2 Ag 0.000 0.000 0.334 1
Ag3 Ag 0.000 0.000 0.666 1
Ag4 Ag 0.000 0.000 0.834 1
Ag5 Ag 0.333 0.667 0.250 1
Ag6 Ag 0.667 0.333 0.750 1
Sn1 Sn 0.333 0.667 0.572 1
Sn2 Sn 0.333 0.667 0.928 1
Sn3 Sn 0.667 0.333 0.072 1
Sn4 Sn 0.667 0.333 0.428 1
Pt1 Pt 0.000 0.000 0.000 1
Pt2 Pt 0.000 0.000 0.500 1
Pt3 Pt 0.333 0.667 0.750 1
Pt4 Pt 0.667 0.333 0.250 1
```

Largest 8 diffraction maxima, by angle, 2θ = 10–90°:
- d 4.046, 21.97 deg, rel. 174
- d 3.806, 23.37 deg, rel. 215
- d 2.261, 39.87 deg, rel. 1000
- d 2.221, 40.61 deg, rel. 941
- d 1.585, 58.23 deg, rel. 323
- d 1.305, 72.40 deg, rel. 172
- d 1.298, 72.90 deg, rel. 332
- d 1.158, 83.45 deg, rel. 199

=====

Starting from a cell relaxed with GGA-PBE, the X-ray powder pattern of RbPuAgTeSe2 was computed for a wavelength of 1.5418 Å.
Kinematic intensities with the Lorentz-polarization factor, no thermal factor.

Structure:
```
data_RbPuAgTeSe2
_chemical_formula_sum 'Rb2 Pu2 Ag2 Te2 Se4'
_cell_length_a 8.962
_cell_length_b 4.229
_cell_length_c 10.696
_cell_angle_alpha 90.00
_cell_angle_beta 110.19
_cell_angle_gamma 90.00
_symmetry_space_group_name_H-M 'P 1'
_symmetry_Int_Tables_number 1
_symmetry_space_group_name_Hall 'P 1'
loop_
_atom_site_label
_atom_site_type_symbol
_atom_site_fract_x
_atom_site_fract_y
_atom_site_fract_z
_atom_site_occupancy
Rb1 Rb 0.228 0.250 0.249 1
Rb2 Rb 0.772 0.750 0.751 1
Pu1 Pu 0.319 0.750 0.854 1
Pu2 Pu 0.681 0.250 0.146 1
Ag1 Ag 0.074 0.250 0.599 1
Ag2 Ag 0.926 0.750 0.401 1
Te1 Te 0.263 0.750 0.553 1
Te2 Te 0.737 0.250 0.447 1
Se1 Se 0.108 0.250 0.859 1
Se2 Se 0.461 0.750 0.135 1
Se3 Se 0.539 0.250 0.865 1
Se4 Se 0.892 0.750 0.141 1
```

Largest 8 diffraction maxima, by angle, 2θ = 10–90°:
- d 7.935, 11.15 deg, rel. 1000
- d 3.346, 26.64 deg, rel. 205
- d 3.071, 29.08 deg, rel. 422
- d 2.982, 29.97 deg, rel. 372
- d 2.796, 32.01 deg, rel. 202
- d 2.723, 32.89 deg, rel. 239
- d 2.204, 40.94 deg, rel. 303
- d 2.114, 42.77 deg, rel. 196

=====

Starting from a cell relaxed with GGA-PBE, the X-ray powder pattern of PuZnAg was computed for a wavelength of 1.5418 Å.
Kinematic intensities with the Lorentz-polarization factor, no thermal factor.

Structure:
```
data_PuZnAg
_chemical_formula_sum 'Pu1 Zn1 Ag1'
_cell_length_a 4.845
_cell_length_b 4.845
_cell_length_c 2.968
_cell_angle_alpha 90.00
_cell_angle_beta 90.00
_cell_angle_gamma 120.00
_symmetry_space_group_name_H-M 'P 1'
_symmetry_Int_Tables_number 1
_symmetry_space_group_name_Hall 'P 1'
loop_
_atom_site_label
_atom_site_type_symbol
_atom_site_fract_x
_atom_site_fract_y
_atom_site_fract_z
_atom_site_occupancy
Pu1 Pu 0.000 0.000 0.000 1
Zn1 Zn 0.333 0.667 0.500 1
Ag1 Ag 0.667 0.333 0.500 1
```

Largest 8 diffraction maxima, by angle, 2θ = 10–90°:
- d 4.196, 21.17 deg, rel. 217
- d 2.423, 37.11 deg, rel. 1000
- d 2.098, 43.12 deg, rel. 37
- d 1.713, 53.49 deg, rel. 194
- d 1.586, 58.17 deg, rel. 33
- d 1.399, 66.90 deg, rel. 299
- d 1.265, 75.07 deg, rel. 116
- d 1.211, 79.06 deg, rel. 64

=====

Starting from a cell relaxed with GGA-PBE, the X-ray powder pattern of Rb2ReAg2S4 was computed for a wavelength of 1.5418 Å.
Kinematic intensities with the Lorentz-polarization factor, no thermal factor.

Structure:
```
data_Rb2ReAg2S4
_chemical_formula_sum 'Rb4 Re2 Ag4 S8'
_cell_length_a 11.867
_cell_length_b 11.867
_cell_length_c 6.651
_cell_angle_alpha 98.52
_cell_angle_beta 98.52
_cell_angle_gamma 142.75
_symmetry_space_group_name_H-M 'P 1'
_symmetry_Int_Tables_number 1
_symmetry_space_group_name_Hall 'P 1'
loop_
_atom_site_label
_atom_site_type_symbol
_atom_site_fract_x
_atom_site_fract_y
_atom_site_fract_z
_atom_site_occupancy
Rb1 Rb 0.062 0.938 0.750 1
Rb2 Rb 0.193 0.807 0.250 1
Rb3 Rb 0.807 0.193 0.750 1
Rb4 Rb 0.938 0.062 0.250 1
Re1 Re 0.378 0.622 0.250 1
Re2 Re 0.622 0.378 0.750 1
Ag1 Ag 0.318 0.682 0.750 1
Ag2 Ag 0.466 0.534 0.750 1
Ag3 Ag 0.534 0.466 0.250 1
Ag4 Ag 0.682 0.318 0.250 1
S1 S 0.125 0.485 0.344 1
S2 S 0.240 0.368 0.953 1
S3 S 0.368 0.240 0.453 1
S4 S 0.485 0.125 0.844 1
S5 S 0.515 0.875 0.156 1
S6 S 0.632 0.760 0.547 1
S7 S 0.760 0.632 0.047 1
S8 S 0.875 0.515 0.656 1
```

Largest 8 diffraction maxima, by angle, 2θ = 10–90°:
- d 6.434, 13.76 deg, rel. 1000
- d 3.357, 26.55 deg, rel. 555
- d 3.163, 28.22 deg, rel. 505
- d 3.127, 28.54 deg, rel. 458
- d 3.014, 29.64 deg, rel. 545
- d 2.946, 30.34 deg, rel. 530
- d 2.841, 31.49 deg, rel. 384
- d 2.656, 33.75 deg, rel. 361

=====

Starting from a cell relaxed with GGA-PBE, the X-ray powder pattern of Rb2Ag3S4 was computed for a wavelength of 1.5418 Å.
Kinematic intensities with the Lorentz-polarization factor, no thermal factor.

Structure:
```
data_Rb2Ag3S4
_chemical_formula_sum 'Rb2 Ag3 S4'
_cell_length_a 8.928
_cell_length_b 7.890
_cell_length_c 6.290
_cell_angle_alpha 77.13
_cell_angle_beta 59.49
_cell_angle_gamma 43.38
_symmetry_space_group_name_H-M 'P 1'
_symmetry_Int_Tables_number 1
_symmetry_space_group_name_Hall 'P 1'
loop_
_atom_site_label
_atom_site_type_symbol
_atom_site_fract_x
_atom_site_fract_y
_atom_site_fract_z
_atom_site_occupancy
Rb1 Rb 0.168 0.168 0.832 1
Rb2 Rb 0.832 0.832 0.168 1
Ag1 Ag 0.000 0.000 0.500 1
Ag2 Ag 0.500 0.500 0.000 1
Ag3 Ag 0.500 0.500 0.500 1
S1 S 0.218 0.541 0.459 1
S2 S 0.459 0.782 0.218 1
S3 S 0.541 0.218 0.782 1
S4 S 0.782 0.459 0.541 1
```

Largest 8 diffraction maxima, by angle, 2θ = 10–90°:
- d 7.155, 12.37 deg, rel. 945
- d 4.279, 20.76 deg, rel. 383
- d 3.643, 24.43 deg, rel. 691
- d 2.822, 31.70 deg, rel. 636
- d 2.670, 33.57 deg, rel. 246
- d 2.623, 34.19 deg, rel. 1000
- d 2.216, 40.72 deg, rel. 304
- d 1.822, 50.07 deg, rel. 446